This entry pairs a crystal structure of Li4Fe5CoO12 with its calculated X-ray powder pattern. Radiation: Cu Kα X-rays. Structure: a PBE+U-relaxed structure.
Kinematic intensities with the Lorentz-polarization factor, no thermal factor.

Most intense lines, 2θ = 15–90°, low angle first:
d [Å]	2θ/deg	intensity
5.009	17.71	100
2.501	35.91	12
2.466	36.43	14
2.343	38.41	8
2.299	39.18	11
2.177	41.48	11
2.105	42.97	9
2.069	43.75	9
1.938	46.88	9
1.433	65.07	11

```
Li4Fe5CoO12
1.0
2.492 -4.344 0.000
2.492 4.344 0.000
-1.362 0.000 10.017
Li Fe Co O
4 5 1 12
Direct
0.160 0.160 0.251
0.507 0.166 0.750
0.834 0.493 0.250
0.840 0.840 0.749
0.164 0.836 0.500
0.243 0.757 0.000
0.495 0.505 0.500
0.575 0.425 0.000
0.828 0.172 0.500
0.907 0.093 0.000
0.139 0.477 0.394
0.207 0.059 0.897
0.211 0.203 0.604
0.257 0.438 0.099
0.459 0.154 0.394
0.523 0.861 0.606
0.562 0.743 0.901
0.614 0.126 0.100
0.797 0.789 0.396
0.846 0.541 0.606
0.874 0.386 0.900
0.941 0.793 0.103
```